No. 1
This entry pairs a crystal structure of Mn3ZnC with its simulated PXRD pattern. Radiation: Cu Kα (weighted mean of Kα1 and Kα2). Structure: a crystal structure in the Materials Project, relaxed with PBE.
Peak positions follow from Bragg's law for the DFT cell and can differ from measured ones.

Main lines, by angle (10 to 80 degrees two-theta):
2θ (°)	Rel. int.
32.7	4
40.3	100
46.9	55
58.3	1
68.5	32

Structure:
```
5
Lattice="3.8755 0.0000 0.0000 0.0000 3.8755 0.0000 0.0000 0.0000 3.8755" Properties=species:S:1:pos:R:3 pbc="T T T"
Mn 0.0000 0.0000 1.9378
Mn 0.0000 1.9378 0.0000
Mn 1.9378 0.0000 0.0000
Zn 1.9378 1.9378 1.9378
C 0.0000 0.0000 0.0000
```

---

No. 2
This entry pairs a crystal structure of Mo3Os2 with its simulated PXRD pattern. Radiation: Cu Kα (weighted mean of Kα1 and Kα2). Structure: a crystal structure in the Materials Project, relaxed with PBE.
Peak positions follow from Bragg's law for the DFT cell and can differ from measured ones.

Main lines, by angle (10 to 80 degrees two-theta):
2θ (°)	Rel. int.
20.1	31
36.1	26
38.4	86
39.5	33
40.8	23
41.9	64
42.6	100
43.7	57
45.1	14
47.1	19
69.4	23
73.8	17

Structure:
```
30
Lattice="6.8334 -6.8482 0.0000 6.8334 6.8482 0.0000 0.0000 0.0000 4.9779" Properties=species:S:1:pos:R:3 pbc="T T T"
Mo 4.5712 4.0579 4.9763
Mo 6.8334 5.4258 0.0000
Mo 4.0802 2.2796 2.4819
Mo 2.4728 0.0000 3.7387
Mo 2.4901 0.0000 1.2400
Mo 6.8334 2.4787 3.7263
Mo 9.0957 4.0579 4.9763
Mo 5.4252 0.0000 2.4905
Mo 4.0802 -2.2796 2.4819
Mo 9.5867 2.2796 2.4819
Mo 8.2417 0.0000 2.4905
Mo 4.5712 -4.0579 4.9763
Mo 6.8334 -2.4787 3.7263
Mo 11.1768 0.0000 1.2400
Mo 11.1941 0.0000 3.7387
Mo 9.5867 -2.2796 2.4819
Mo 6.8334 -5.4258 0.0000
Mo 9.0957 -4.0579 4.9763
Os 0.0000 0.0000 2.4785
Os 5.4989 4.5746 2.4778
Os 4.5777 1.3561 0.0055
Os 8.1679 4.5746 2.4778
Os 6.8334 2.4804 1.2393
Os 4.5777 -1.3561 0.0055
Os 6.8334 0.0000 0.0046
Os 9.0892 1.3561 0.0055
Os 6.8334 -2.4804 1.2393
Os 5.4989 -4.5746 2.4778
Os 9.0892 -1.3561 0.0055
Os 8.1679 -4.5746 2.4778
```